1.
The following is a theoretical XRD peak list of Ta3As. It was derived from a DFT-relaxed cell (GGA-PBE, the Materials Project), using Cu Kα X-rays.
Kinematic intensities with the Lorentz-polarization factor, no thermal factor.

Structure:
abc: 14.8100 5.1386 14.6589
angles: 90.00 90.64 90.00
Space group C2/c (No. 15)
Inequivalent atoms, fractional coordinates:
Ta 0.0485 0.2505 0.0058 (multiplicity 8)
Ta 0.0668 0.0007 0.8293 (multiplicity 8)
Ta 0.0743 0.4888 0.6772 (multiplicity 8)
Ta 0.1587 0.2465 0.5043 (multiplicity 8)
Ta 0.2423 0.2420 0.2979 (multiplicity 8)
Ta 0.2472 0.2290 0.9091 (multiplicity 8)
As 0.1005 0.4987 0.8590 (multiplicity 8)
As 0.1136 0.0142 0.1559 (multiplicity 8)

Main lines, in order of rising 2θ (2θ from 5° to 70°):
35.46 deg, 2.532 Å, I = 28
35.58 deg, 2.523 Å, I = 38
35.72 deg, 2.514 Å, I = 37
35.84 deg, 2.505 Å, I = 30
36.40 deg, 2.468 Å, I = 32
36.79 deg, 2.443 Å, I = 35
37.05 deg, 2.426 Å, I = 100
38.65 deg, 2.329 Å, I = 36
39.51 deg, 2.281 Å, I = 34
40.00 deg, 2.254 Å, I = 31
42.84 deg, 2.111 Å, I = 32
42.99 deg, 2.104 Å, I = 30

---

2.
The following is a theoretical XRD peak list of PrMgRh. It was derived from a DFT-relaxed cell (GGA-PBE, the Materials Project), using Cu Kα X-rays.
Kinematic intensities with the Lorentz-polarization factor, no thermal factor.

Structure:
abc: 7.3028 4.2202 8.7550
angles: 90.00 90.00 90.00
Space group Pnma (No. 62)
Inequivalent atoms, fractional coordinates:
Pr 0.0383 0.2500 0.1790 (multiplicity 4)
Mg 0.1334 0.2500 0.5574 (multiplicity 4)
Rh 0.2465 0.7500 0.3735 (multiplicity 4)

Main lines, in order of rising 2θ (2θ from 5° to 70°):
15.80 deg, 5.608 Å, I = 15
23.70 deg, 3.755 Å, I = 16
26.44 deg, 3.372 Å, I = 35
31.91 deg, 2.805 Å, I = 59
33.05 deg, 2.710 Å, I = 30
34.04 deg, 2.633 Å, I = 100
37.47 deg, 2.400 Å, I = 18
39.52 deg, 2.280 Å, I = 27
42.49 deg, 2.127 Å, I = 26
42.86 deg, 2.110 Å, I = 27
48.48 deg, 1.878 Å, I = 17
61.94 deg, 1.498 Å, I = 17